(1)
For K3LiZn2F8, the GGA-PBE geometry in Alexandria gives the calculated XRD peak list in this record (Cu Kα, 1.54184 Å).
Intensities are scaled so that the largest is 100.

Most intense lines, 15° ≤ 2θ ≤ 90°, by angle:
- 2θ 17.5, I 20.5
- 2θ 21.1, I 54.5
- 2θ 29.5, I 42.2
- 2θ 30.6, I 100.0
- 2θ 35.5, I 19.2
- 2θ 39.9, I 37.1
- 2θ 43.0, I 55.5
- 2θ 54.4, I 17.5
- 2θ 60.8, I 18.4
- 2θ 61.2, I 19.0
- 2θ 63.7, I 23.5
- 2θ 70.0, I 18.8

Structure:
```
14
Lattice="5.844 0.000 0.000 -2.922 5.061 0.000 0.000 0.000 7.569" Properties=species:S:1:pos:R:3 pbc="T T T"
K 0.000 0.000 0.000
K 0.000 3.374 4.780
K 2.922 1.687 2.788
Li 0.000 0.000 3.784
Zn 0.000 3.374 1.591
Zn 2.922 1.687 5.977
F 0.000 1.648 2.480
F -1.495 4.237 2.480
F 1.427 0.824 5.089
F 0.000 3.374 7.284
F 2.922 1.687 0.284
F 1.495 4.237 2.480
F 4.417 0.824 5.089
F 2.922 3.413 5.089
```

---

(2)
For KLiZn2F8, the GGA-PBE geometry in Alexandria gives the calculated XRD peak list in this record (Cu Kα, 1.54184 Å).
Intensities are scaled so that the largest is 100.

Most intense lines, 15° ≤ 2θ ≤ 90°, by angle:
- 2θ 18.5, I 45.8
- 2θ 19.1, I 48.7
- 2θ 20.8, I 48.1
- 2θ 25.0, I 100.0
- 2θ 28.0, I 31.7
- 2θ 28.4, I 51.2
- 2θ 32.6, I 31.0
- 2θ 34.2, I 27.3
- 2θ 41.1, I 27.2
- 2θ 44.5, I 27.0
- 2θ 45.5, I 18.7
- 2θ 48.5, I 21.2

Structure:
```
12
Lattice="4.676 0.000 0.000 0.608 4.809 0.000 0.205 0.710 7.871" Properties=species:S:1:pos:R:3 pbc="T T T"
K 0.000 0.000 0.000
Li 0.103 0.355 3.936
Zn 2.768 2.765 5.442
Zn 2.721 2.754 2.429
F 1.278 3.960 2.457
F 1.499 4.137 5.591
F 1.853 1.754 3.845
F 2.307 2.067 7.107
F 3.183 3.452 0.764
F 3.636 3.765 4.026
F 3.991 1.382 2.280
F 4.212 1.558 5.414
```

---

(3)
For KLi3Zn4F12, the GGA-PBE geometry in Alexandria gives the calculated XRD peak list in this record (Cu Kα, 1.54184 Å).
Intensities are scaled so that the largest is 100.

Most intense lines, 15° ≤ 2θ ≤ 90°, by angle:
- 2θ 23.0, I 100.0
- 2θ 32.7, I 90.7
- 2θ 36.7, I 27.7
- 2θ 40.3, I 7.6
- 2θ 43.7, I 19.5
- 2θ 46.9, I 35.0
- 2θ 52.8, I 48.2
- 2θ 58.3, I 63.8
- 2θ 68.5, I 14.0
- 2θ 73.3, I 11.0
- 2θ 78.0, I 17.5
- 2θ 82.6, I 11.2

Structure:
```
20
Lattice="-3.875 3.875 3.875 3.875 -3.875 3.875 3.875 3.875 -3.875" Properties=species:S:1:pos:R:3 pbc="T T T"
K 0.000 0.000 0.000
Li 3.875 0.000 0.000
Li 0.000 3.875 0.000
Li 0.000 0.000 3.875
Zn 1.937 1.937 -1.937
Zn 1.937 -1.937 1.937
Zn -1.937 1.937 1.937
Zn 1.937 1.937 1.937
F 3.875 -1.453 2.486
F 2.421 1.389 0.000
F 5.328 1.389 0.000
F 2.486 3.875 -1.453
F 1.389 0.000 2.421
F 0.000 2.421 1.389
F 3.875 1.453 2.486
F 2.486 3.875 1.453
F 1.389 0.000 5.328
F -1.453 2.486 3.875
F 1.453 2.486 3.875
F 0.000 5.328 1.389
```

---

(4)
For K3Li2ZnF8, the GGA-PBE geometry in Alexandria gives the calculated XRD peak list in this record (Cu Kα, 1.54184 Å).
Intensities are scaled so that the largest is 100.

Most intense lines, 15° ≤ 2θ ≤ 90°, by angle:
- 2θ 17.8, I 45.8
- 2θ 21.4, I 25.7
- 2θ 29.9, I 59.9
- 2θ 31.1, I 100.0
- 2θ 36.1, I 21.1
- 2θ 38.1, I 49.6
- 2θ 39.5, I 41.3
- 2θ 43.7, I 74.1
- 2θ 51.9, I 22.6
- 2θ 54.6, I 22.1
- 2θ 62.1, I 22.0
- 2θ 64.8, I 27.9

Structure:
```
14
Lattice="5.755 0.000 0.000 -2.877 4.984 0.000 0.000 0.000 7.469" Properties=species:S:1:pos:R:3 pbc="T T T"
K 0.000 0.000 0.000
K 0.000 3.322 4.868
K 2.877 1.661 2.601
Li 0.000 3.322 1.735
Li 2.877 1.661 5.734
Zn 0.000 0.000 3.734
F 0.000 1.615 2.534
F -1.478 4.176 2.534
F 1.399 0.808 4.935
F 0.000 3.322 7.402
F 2.877 1.661 0.067
F 1.478 4.176 2.534
F 4.356 0.808 4.935
F 2.877 3.368 4.935
```

---

(5)
For KLi2ZrF8, the GGA-PBE geometry in Alexandria gives the calculated XRD peak list in this record (Cu Kα, 1.54184 Å).
Intensities are scaled so that the largest is 100.

Most intense lines, 15° ≤ 2θ ≤ 90°, by angle:
- 2θ 18.2, I 100.0
- 2θ 20.4, I 62.6
- 2θ 23.6, I 73.5
- 2θ 23.8, I 38.4
- 2θ 28.0, I 33.6
- 2θ 28.1, I 30.2
- 2θ 32.1, I 21.7
- 2θ 37.1, I 88.5
- 2θ 38.4, I 51.3
- 2θ 41.5, I 41.9
- 2θ 47.2, I 23.6
- 2θ 49.7, I 30.4

Structure:
```
12
Lattice="3.857 -3.183 0.000 3.857 3.183 0.000 -1.551 0.000 7.473" Properties=species:S:1:pos:R:3 pbc="T T T"
K 0.000 0.000 0.000
Li 2.369 0.000 5.466
Li 3.794 0.000 2.007
Zr -0.775 0.000 3.736
F 3.190 1.797 2.220
F 2.974 1.797 5.253
F 1.240 0.000 3.918
F 1.373 0.000 7.161
F 4.790 0.000 0.312
F 4.923 0.000 3.555
F 3.190 -1.797 2.220
F 2.974 -1.797 5.253
```

---

What is the formula in the second record? KLiZn2F8